1.
Structure and simulated X-ray diffraction stick pattern of Ac6RuPb2O (the GGA-PBE geometry in Alexandria; CuKα).

Principal peaks in the range 10° ≤ 2θ ≤ 90°, sorted by position:
2theta, d/Å, I/Imax
27.13, 3.287, 100
27.82, 3.207, 96
30.28, 2.951, 100
34.74, 2.582, 33
44.29, 2.045, 19
46.74, 1.943, 53
51.49, 1.775, 31
52.71, 1.737, 32

Cell and atoms:
Lattice parameters (Å, degrees): 8.181 10.330 8.524 90.00 90.00 90.00
Sites, in units of the cell vectors:
Ac (0.002, 0.250, 0.029)
Ac (0.015, 0.750, 0.495)
Ac (0.250, 0.031, 0.771)
Ac (0.250, 0.469, 0.771)
Ac (0.485, 0.750, 0.495)
Ac (0.498, 0.250, 0.029)
Ac (0.502, 0.750, 0.971)
Ac (0.515, 0.250, 0.505)
Ac (0.750, 0.531, 0.229)
Ac (0.750, 0.969, 0.229)
Ac (0.985, 0.250, 0.505)
Ac (0.998, 0.750, 0.971)
Ru (0.250, 0.750, 0.767)
Ru (0.750, 0.250, 0.233)
Pb (0.250, 0.509, 0.242)
Pb (0.250, 0.991, 0.242)
Pb (0.750, 0.009, 0.758)
Pb (0.750, 0.491, 0.758)
O (0.250, 0.250, 0.622)
O (0.750, 0.750, 0.378)

---

2.
Structure and simulated X-ray diffraction stick pattern of TaCuHRh2 (the GGA-PBE geometry in Alexandria; CuKα).

Principal peaks in the range 10° ≤ 2θ ≤ 90°, sorted by position:
2theta, d/Å, I/Imax
22.01, 4.039, 12
39.86, 2.262, 100
44.88, 2.020, 36
49.22, 1.851, 14
65.34, 1.428, 11
68.79, 1.365, 20
79.35, 1.208, 26
85.76, 1.133, 11

Cell and atoms:
Lattice parameters (Å, degrees): 4.039 4.039 3.703 90.00 90.00 90.00
Sites, in units of the cell vectors:
Ta (0.000, 0.000, 0.000)
Cu (0.500, 0.500, 0.000)
H (0.500, 0.500, 0.500)
Rh (0.000, 0.500, 0.500)
Rh (0.500, 0.000, 0.500)

---

3.
Structure and simulated X-ray diffraction stick pattern of Be4SbRh2 (the GGA-PBE geometry in Alexandria; CuKα).

Principal peaks in the range 10° ≤ 2θ ≤ 90°, sorted by position:
2theta, d/Å, I/Imax
14.88, 5.953, 53
29.07, 3.072, 100
30.51, 2.930, 82
32.81, 2.730, 21
41.58, 2.172, 43
43.33, 2.088, 63
52.44, 1.745, 35
61.61, 1.505, 44

Cell and atoms:
Lattice parameters (Å, degrees): 6.699 6.699 6.699 142.16 142.16 54.59
Sites, in units of the cell vectors:
Be (0.000, 0.500, 0.500)
Be (0.208, 0.208, 0.000)
Be (0.500, 0.000, 0.500)
Be (0.792, 0.792, 0.000)
Sb (0.000, 0.000, 0.000)
Rh (0.386, 0.386, 0.000)
Rh (0.614, 0.614, 0.000)

---

4.
Structure and simulated X-ray diffraction stick pattern of Cd5GeCl12 (the GGA-PBE geometry in Alexandria; CuKα).

Principal peaks in the range 10° ≤ 2θ ≤ 90°, sorted by position:
2theta, d/Å, I/Imax
13.71, 6.458, 100
27.21, 3.278, 40
29.79, 2.999, 39
33.66, 2.663, 54
38.54, 2.336, 22
44.08, 2.055, 29
47.02, 1.933, 30
61.84, 1.500, 12

Cell and atoms:
Lattice parameters (Å, degrees): 6.778 6.778 12.917 90.03 90.03 120.11
Sites, in units of the cell vectors:
Cd (0.000, 0.000, 0.000)
Cd (0.167, 0.833, 0.500)
Cd (0.333, 0.667, 0.000)
Cd (0.667, 0.333, 0.000)
Cd (0.833, 0.167, 0.500)
Ge (0.500, 0.500, 0.500)
Cl (0.000, 0.333, 0.889)
Cl (0.000, 0.667, 0.111)
Cl (0.163, 0.163, 0.612)
Cl (0.163, 0.500, 0.388)
Cl (0.333, 0.000, 0.889)
Cl (0.334, 0.334, 0.111)
Cl (0.500, 0.163, 0.388)
Cl (0.500, 0.837, 0.612)
Cl (0.666, 0.666, 0.889)
Cl (0.667, 0.000, 0.111)
Cl (0.837, 0.500, 0.612)
Cl (0.837, 0.837, 0.388)

---

5.
Structure and simulated X-ray diffraction stick pattern of Nd6Zn23 (the GGA-PBE geometry in Alexandria; CuKα).

Principal peaks in the range 10° ≤ 2θ ≤ 90°, sorted by position:
2theta, d/Å, I/Imax
30.11, 2.968, 13
33.94, 2.641, 22
36.07, 2.490, 57
39.40, 2.287, 100
41.89, 2.156, 14
60.74, 1.525, 15
71.44, 1.321, 17
72.72, 1.300, 14

Cell and atoms:
Lattice parameters (Å, degrees): 9.149 9.149 9.149 60.00 60.00 60.00
Sites, in units of the cell vectors:
Nd (0.213, 0.213, 0.787)
Nd (0.213, 0.787, 0.213)
Nd (0.213, 0.787, 0.787)
Nd (0.787, 0.213, 0.213)
Nd (0.787, 0.213, 0.787)
Nd (0.787, 0.787, 0.213)
Zn (0.000, 0.000, 0.500)
Zn (0.000, 0.500, 0.000)
Zn (0.000, 0.500, 0.500)
Zn (0.126, 0.625, 0.625)
Zn (0.173, 0.173, 0.173)
Zn (0.173, 0.173, 0.480)
Zn (0.173, 0.480, 0.173)
Zn (0.375, 0.375, 0.375)
Zn (0.375, 0.375, 0.874)
Zn (0.375, 0.874, 0.375)
Zn (0.480, 0.173, 0.173)
Zn (0.500, 0.000, 0.000)
Zn (0.500, 0.000, 0.500)
Zn (0.500, 0.500, 0.000)
Zn (0.500, 0.500, 0.500)
Zn (0.520, 0.827, 0.827)
Zn (0.625, 0.126, 0.625)
Zn (0.625, 0.625, 0.126)
Zn (0.625, 0.625, 0.625)
Zn (0.827, 0.520, 0.827)
Zn (0.827, 0.827, 0.520)
Zn (0.827, 0.827, 0.827)
Zn (0.874, 0.375, 0.375)

---

6.
Structure and simulated X-ray diffraction stick pattern of AcInP2S8 (the GGA-PBE geometry in Alexandria; CuKα).

Principal peaks in the range 10° ≤ 2θ ≤ 90°, sorted by position:
2theta, d/Å, I/Imax
17.14, 5.172, 94
26.35, 3.382, 100
29.94, 2.985, 56
31.59, 2.832, 40
36.17, 2.483, 79
40.31, 2.238, 50
51.01, 1.790, 66
68.75, 1.365, 30

Cell and atoms:
Lattice parameters (Å, degrees): 5.972 5.972 8.942 90.00 90.00 120.00
Sites, in units of the cell vectors:
Ac (0.000, 0.000, 0.000)
In (0.000, 0.000, 0.500)
P (0.333, 0.667, 0.760)
P (0.667, 0.333, 0.240)
S (0.004, 0.327, 0.701)
S (0.323, 0.996, 0.701)
S (0.327, 0.323, 0.299)
S (0.333, 0.667, 0.987)
S (0.667, 0.333, 0.013)
S (0.673, 0.677, 0.701)
S (0.677, 0.004, 0.299)
S (0.996, 0.673, 0.299)

---

Repeat the third record exactly.
Structure and simulated X-ray diffraction stick pattern of Be4SbRh2 (the GGA-PBE geometry in Alexandria; CuKα).

Principal peaks in the range 10° ≤ 2θ ≤ 90°, sorted by position:
2theta, d/Å, I/Imax
14.88, 5.953, 53
29.07, 3.072, 100
30.51, 2.930, 82
32.81, 2.730, 21
41.58, 2.172, 43
43.33, 2.088, 63
52.44, 1.745, 35
61.61, 1.505, 44

Cell and atoms:
Lattice parameters (Å, degrees): 6.699 6.699 6.699 142.16 142.16 54.59
Sites, in units of the cell vectors:
Be (0.000, 0.500, 0.500)
Be (0.208, 0.208, 0.000)
Be (0.500, 0.000, 0.500)
Be (0.792, 0.792, 0.000)
Sb (0.000, 0.000, 0.000)
Rh (0.386, 0.386, 0.000)
Rh (0.614, 0.614, 0.000)